Entry 1:
Sr2NbFeO6: calculated X-ray diffraction stick pattern (Cu Ka), based on a structure optimized by DFT (GGA+U).

Top 8 peaks for 10 to 80 degrees two-theta, low angle first:
- 2θ 19.10, d 4.646, I = 4
- 2θ 31.44, d 2.845, I = 100
- 2θ 37.05, d 2.426, I = 2
- 2θ 38.76, d 2.323, I = 6
- 2θ 45.06, d 2.012, I = 37
- 2θ 55.98, d 1.643, I = 39
- 2θ 65.63, d 1.423, I = 22
- 2θ 74.59, d 1.272, I = 17

Structure:
abc: 5.690 5.690 5.690
angles: 60.00 60.00 60.00
Atoms (fractional coordinates):
Sr (0.250, 0.250, 0.250)
Sr (0.750, 0.750, 0.750)
Nb (0.000, 0.000, 0.000)
Fe (0.500, 0.500, 0.500)
O (0.249, 0.249, 0.751)
O (0.249, 0.751, 0.249)
O (0.249, 0.751, 0.751)
O (0.751, 0.249, 0.249)
O (0.751, 0.249, 0.751)
O (0.751, 0.751, 0.249)

=====

Entry 2:
Li6CrO6: calculated X-ray diffraction stick pattern (Cu Ka), based on a structure optimized by DFT (GGA+U).

Top 8 peaks for 10 to 80 degrees two-theta, low angle first:
- 2θ 16.26, d 5.451, I = 34
- 2θ 18.06, d 4.913, I = 39
- 2θ 18.20, d 4.875, I = 100
- 2θ 24.17, d 3.683, I = 46
- 2θ 24.38, d 3.650, I = 76
- 2θ 24.61, d 3.617, I = 90
- 2θ 31.63, d 2.829, I = 45
- 2θ 32.86, d 2.726, I = 57

Structure:
abc: 5.659 5.659 10.903
angles: 90.91 90.91 59.49
Atoms (fractional coordinates):
Li (0.002, 0.998, 0.500)
Li (0.329, 0.942, 0.762)
Li (0.330, 0.620, 0.652)
Li (0.354, 0.943, 0.176)
Li (0.620, 0.330, 0.152)
Li (0.644, 0.682, 0.500)
Li (0.682, 0.644, 0.000)
Li (0.718, 0.965, 0.678)
Li (0.942, 0.329, 0.262)
Li (0.943, 0.354, 0.676)
Li (0.965, 0.718, 0.178)
Li (0.998, 0.002, 0.000)
Cr (0.326, 0.327, 0.908)
Cr (0.327, 0.326, 0.408)
O (0.026, 0.990, 0.672)
O (0.039, 0.331, 0.452)
O (0.050, 0.608, 0.962)
O (0.318, 0.323, 0.255)
O (0.323, 0.318, 0.755)
O (0.324, 0.607, 0.461)
O (0.331, 0.039, 0.952)
O (0.607, 0.324, 0.961)
O (0.608, 0.050, 0.462)
O (0.631, 0.687, 0.672)
O (0.687, 0.631, 0.172)
O (0.990, 0.026, 0.172)

=====

Entry 3:
K2CuNi2S2O2: calculated X-ray diffraction stick pattern (Cu Ka), based on a structure optimized by DFT (GGA+U).

Top 8 peaks for 10 to 80 degrees two-theta, low angle first:
- 2θ 16.36, d 5.420, I = 92
- 2θ 31.23, d 2.864, I = 100
- 2θ 34.25, d 2.618, I = 46
- 2θ 37.23, d 2.415, I = 32
- 2θ 41.79, d 2.162, I = 21
- 2θ 47.67, d 1.908, I = 48
- 2θ 54.28, d 1.690, I = 32
- 2θ 58.10, d 1.588, I = 29

Structure:
abc: 11.170 11.170 11.170
angles: 160.33 160.33 27.95
Atoms (fractional coordinates):
K (0.089, 0.089, 0.000)
K (0.911, 0.911, 0.000)
Cu (0.500, 0.500, 0.000)
Ni (0.250, 0.750, 0.500)
Ni (0.750, 0.250, 0.500)
S (0.316, 0.316, 0.000)
S (0.684, 0.684, 0.000)
O (0.000, 0.500, 0.500)
O (0.500, 0.000, 0.500)

=====

Entry 4:
Li2Ti3CoO8: calculated X-ray diffraction stick pattern (Cu Ka), based on a structure optimized by DFT (GGA+U).

Top 8 peaks for 10 to 80 degrees two-theta, low angle first:
- 2θ 18.18, d 4.880, I = 100
- 2θ 35.21, d 2.549, I = 47
- 2θ 42.79, d 2.113, I = 59
- 2θ 46.85, d 1.939, I = 9
- 2θ 56.57, d 1.627, I = 20
- 2θ 62.12, d 1.494, I = 35
- 2θ 65.30, d 1.429, I = 14
- 2θ 78.37, d 1.220, I = 9

Structure:
abc: 8.453 8.453 8.453
angles: 90.00 90.00 90.00
Atoms (fractional coordinates):
Li (0.001, 0.499, 0.501)
Li (0.249, 0.749, 0.751)
Li (0.251, 0.251, 0.251)
Li (0.499, 0.501, 0.001)
Li (0.501, 0.001, 0.499)
Li (0.749, 0.751, 0.249)
Li (0.751, 0.249, 0.749)
Li (0.999, 0.999, 0.999)
Ti (0.122, 0.625, 0.128)
Ti (0.125, 0.372, 0.878)
Ti (0.128, 0.122, 0.625)
Ti (0.372, 0.878, 0.125)
Ti (0.375, 0.628, 0.378)
Ti (0.378, 0.375, 0.628)
Ti (0.622, 0.875, 0.872)
Ti (0.625, 0.128, 0.122)
Ti (0.628, 0.378, 0.375)
Ti (0.872, 0.622, 0.875)
Ti (0.875, 0.872, 0.622)
Ti (0.878, 0.125, 0.372)
Co (0.125, 0.875, 0.375)
Co (0.375, 0.125, 0.875)
Co (0.625, 0.625, 0.625)
Co (0.875, 0.375, 0.125)
O (0.106, 0.125, 0.390)
O (0.110, 0.894, 0.625)
O (0.112, 0.612, 0.888)
O (0.125, 0.144, 0.860)
O (0.125, 0.390, 0.106)
O (0.138, 0.362, 0.638)
O (0.140, 0.625, 0.356)
O (0.144, 0.860, 0.125)
O (0.356, 0.140, 0.625)
O (0.360, 0.375, 0.856)
O (0.362, 0.638, 0.138)
O (0.375, 0.610, 0.606)
O (0.375, 0.856, 0.360)
O (0.388, 0.388, 0.388)
O (0.390, 0.106, 0.125)
O (0.394, 0.875, 0.890)
O (0.606, 0.375, 0.610)
O (0.610, 0.606, 0.375)
O (0.612, 0.888, 0.112)
O (0.625, 0.110, 0.894)
O (0.625, 0.356, 0.140)
O (0.638, 0.138, 0.362)
O (0.640, 0.875, 0.644)
O (0.644, 0.640, 0.875)
O (0.856, 0.360, 0.375)
O (0.860, 0.125, 0.144)
O (0.862, 0.862, 0.862)
O (0.875, 0.644, 0.640)
O (0.875, 0.890, 0.394)
O (0.888, 0.112, 0.612)
O (0.890, 0.394, 0.875)
O (0.894, 0.625, 0.110)